# Rb8HgAu6
Calculated powder diffractogram, copper Kα. Input: the PBE geometry in Alexandria.
Intensities are scaled so that the largest is 100.

Peak list (10 most intense, 2θ from 15° to 90°, sorted by position)
2θ/deg	d (Å)	intensity
17.1	5.190	21
21.3	4.169	44
27.6	3.233	14
29.8	2.997	99
30.8	2.901	100
32.5	2.755	18
39.6	2.276	15
43.4	2.084	29
53.6	1.711	23
55.4	1.658	21

Structural model:
Cell: 10.3808 10.3808 20.9921 Å, 90.00 90.00 120.00°
Space group R-3 (No. 148, hexagonal axes)
Symmetry-distinct sites (fractional):
Rb 0.0000 0.0000 0.1680 x6
Rb 0.0086 0.2951 0.5999 x18
Hg 0.0000 0.0000 0.5000 x3
Au 0.0038 0.3717 0.4354 x18

# MgAl2Cu6
Calculated powder diffractogram, copper Kα. Input: the PBE geometry in Alexandria.
Intensities are scaled so that the largest is 100.

Peak list (10 most intense, 2θ from 15° to 90°, sorted by position)
2θ/deg	d (Å)	intensity
24.3	3.668	18
24.4	3.641	16
41.0	2.203	61
41.2	2.189	58
41.6	2.172	58
43.6	2.077	100
51.0	1.791	29
51.3	1.782	31
76.4	1.246	17
77.6	1.230	14

Structural model:
Cell: 12.2181 8.8105 4.4867 Å, 90.00 97.88 90.00°
Space group C2/c (No. 15)
Symmetry-distinct sites (fractional):
Mg 0.0000 0.1209 0.2500 x4
Al 0.1627 0.3737 0.0934 x8
Cu 0.0546 0.3784 0.5364 x8
Cu 0.1223 0.1322 0.8011 x8
Cu 0.2290 0.1225 0.3552 x8

# Ac4PRh4
Calculated powder diffractogram, copper Kα. Input: the PBE geometry in Alexandria.
Intensities are scaled so that the largest is 100.

Peak list (10 most intense, 2θ from 15° to 90°, sorted by position)
2θ/deg	d (Å)	intensity
24.8	3.590	31
28.0	3.189	27
29.1	3.071	100
29.8	2.993	30
35.6	2.523	14
36.5	2.465	29
40.8	2.212	42
41.6	2.172	40
47.3	1.922	19
50.9	1.795	18

Structural model:
Cell: 8.6867 8.6867 6.3774 Å, 90.00 90.00 90.00°
Space group P4_2/nmc (No. 137, origin choice 2)
Symmetry-distinct sites (fractional):
Ac 0.0188 0.2500 0.0683 x8
P 0.2500 0.7500 0.2500 x2
Rh 0.0234 0.7500 0.4409 x8

# RbLiNp2Br8
Calculated powder diffractogram, copper Kα. Input: the PBE geometry in Alexandria.
Intensities are scaled so that the largest is 100.

Peak list (10 most intense, 2θ from 15° to 90°, sorted by position)
2θ/deg	d (Å)	intensity
16.5	5.360	100
18.7	4.740	56
25.8	3.455	55
25.9	3.436	55
29.2	3.061	57
33.1	2.704	35
33.5	2.677	56
33.8	2.651	40
35.7	2.514	31
43.6	2.076	35

Structural model:
Cell: 7.0313 7.2865 8.9964 Å, 90.28 90.72 97.03°
Space group P-1 (No. 2)
Symmetry-distinct sites (fractional):
Rb 0.0000 0.0000 0.0000 x1
Li 0.0000 0.0000 0.5000 x1
Np 0.4990 0.4997 0.2594 x2
Br 0.2395 0.1698 0.2947 x2
Br 0.2471 0.1654 0.7134 x2
Br 0.2814 0.6439 0.4994 x2
Br 0.2918 0.6297 0.9979 x2

# KPuIn2F8
Calculated powder diffractogram, copper Kα. Input: the PBE geometry in Alexandria.
Intensities are scaled so that the largest is 100.

Peak list (10 most intense, 2θ from 15° to 90°, sorted by position)
2θ/deg	d (Å)	intensity
18.4	4.812	50
24.3	3.664	26
26.3	3.387	99
26.5	3.364	100
30.8	2.905	31
43.7	2.073	82
43.8	2.065	18
44.3	2.044	21
52.0	1.760	28
52.3	1.750	30

Structural model:
Cell: 4.0876 5.9205 8.2598 Å, 90.00 90.00 90.00°
Space group Pmmm (No. 47)
Symmetry-distinct sites (fractional):
K 0.0000 0.0000 0.0000 x1
Pu 0.0000 0.0000 0.5000 x1
In 0.5000 0.5000 0.2309 x2
F 0.0000 0.2486 0.2828 x4
F 0.5000 0.2146 0.5000 x2
F 0.5000 0.2831 0.0000 x2

# SnH6CN3Cl3
Calculated powder diffractogram, copper Kα. Input: the PBE geometry in Alexandria.
Intensities are scaled so that the largest is 100.

Peak list (10 most intense, 2θ from 15° to 90°, sorted by position)
2θ/deg	d (Å)	intensity
15.1	5.871	100
19.6	4.534	43
19.8	4.479	83
20.0	4.436	73
22.7	3.918	46
25.7	3.471	59
29.9	2.987	26
30.5	2.935	94
32.4	2.765	39
40.7	2.218	25

Structural model:
Cell: 6.9429 7.8360 8.8658 Å, 89.85 88.99 89.24°
Space group P1 (No. 1)
Symmetry-distinct sites (fractional):
Sn 0.0000 0.0000 0.0000 x1
Sn 0.0406 0.5001 0.4960 x1
H 0.2868 0.4359 0.8647 x1
H 0.2885 0.5774 0.1116 x1
H 0.3083 0.9520 0.6440 x1
H 0.3205 0.0832 0.3835 x1
H 0.4931 0.4642 0.7575 x1
H 0.4932 0.5385 0.2155 x1
H 0.5204 0.9796 0.7418 x1
H 0.5296 0.0289 0.2825 x1
H 0.7942 0.5632 0.0620 x1
H 0.7946 0.4464 0.8948 x1
H 0.8132 0.9461 0.6031 x1
H 0.8216 0.0485 0.4288 x1
C 0.5266 0.4990 0.9865 x1
C 0.5493 0.0017 0.5119 x1
N 0.4289 0.5379 0.1135 x1
N 0.4303 0.4611 0.8619 x1
N 0.4505 0.9823 0.6417 x1
N 0.4564 0.0317 0.3831 x1
N 0.7189 0.4955 0.9848 x1
N 0.7415 0.9887 0.5104 x1
Cl 0.0090 0.7371 0.1815 x1
Cl 0.0144 0.3069 0.7354 x1
Cl 0.0271 0.8076 0.7620 x1
Cl 0.0368 0.2372 0.3156 x1
Cl 0.4064 0.5068 0.4917 x1
Cl 0.6349 0.0038 0.0039 x1